# SrCa2Zn2
Theoretical X-ray diffraction stick pattern, Cu Kα. Input: the PBE geometry in Alexandria.
Lines closer than 0.1° are merged.

Structure:
```
SrCa2Zn2
1.0
-4.3018 8.3017 2.2366
4.3018 -8.3017 2.2366
4.3018 8.3017 -2.2366
Sr Ca Zn
2 4 4
Direct
0.4993 0.2493 0.2500
0.5007 0.7507 0.7500
0.1552 0.0000 0.6552
0.1552 0.5000 0.1552
0.8448 0.0000 0.3448
0.8448 0.5000 0.8448
0.2946 0.2500 0.0446
0.2946 0.7500 0.5446
0.7054 0.2500 0.4554
0.7054 0.7500 0.9554
```

Principal peaks in the range 10 to 90 degrees two-theta, low angle first:
2θ (°), I_rel
10.7, 37
20.6, 64
29.3, 100
29.9, 69
33.6, 52
39.8, 83
40.3, 33
42.0, 30
51.0, 29
59.7, 38

# CaH6Pd3
Theoretical X-ray diffraction stick pattern, Cu Kα. Input: the PBE geometry in Alexandria.
Lines closer than 0.1° are merged.

Structure:
```
CaH6Pd3
1.0
4.9625 0.0000 0.0000
-2.4486 4.3321 0.0000
-2.4270 -1.4823 4.3517
Ca H Pd
1 6 3
Direct
0.0000 0.0000 0.0000
0.0109 0.1425 0.5122
0.0168 0.4846 0.0564
0.3673 0.8643 0.5197
0.5253 0.0420 0.0608
0.5693 0.5326 0.0512
0.6435 0.5039 0.5139
0.4819 0.2440 0.7232
0.5267 0.7658 0.2916
0.9144 0.4571 0.3723
```

Principal peaks in the range 10 to 90 degrees two-theta, low angle first:
2θ (°), I_rel
20.4, 24
24.6, 26
34.2, 52
34.6, 100
35.9, 62
36.1, 61
36.2, 60
50.4, 17
50.5, 17
63.6, 17

# CuNi2Ag
Theoretical X-ray diffraction stick pattern, Cu Kα. Input: the PBE geometry in Alexandria.
Lines closer than 0.1° are merged.

Structure:
```
CuNi2Ag
1.0
2.6845 0.0000 0.0000
0.0000 2.6845 0.0000
0.0000 0.0000 7.1727
Cu Ni Ag
1 2 1
Direct
0.0000 0.0000 0.0000
0.0000 0.0000 0.4405
0.5000 0.5000 0.2286
0.5000 0.5000 0.7190
```

Principal peaks in the range 10 to 90 degrees two-theta, low angle first:
2θ (°), I_rel
35.7, 9
37.6, 5
42.0, 100
47.9, 36
50.9, 11
62.5, 5
70.1, 11
72.5, 15
85.2, 23
89.8, 6

# CePmDyY2
Theoretical X-ray diffraction stick pattern, Cu Kα. Input: the PBE geometry in Alexandria.
Lines closer than 0.1° are merged.

Structure:
```
CePmDyY2
1.0
5.8407 0.0000 0.0000
0.0000 7.5191 0.0000
0.0000 0.0000 7.4794
Ce Pm Dy Y
2 2 2 4
Direct
0.0000 0.0000 0.0000
0.5000 0.0000 0.0000
0.2500 0.5000 0.1552
0.7500 0.5000 0.8448
0.2500 0.0000 0.3732
0.7500 0.0000 0.6268
0.2500 0.2846 0.6720
0.2500 0.7154 0.6720
0.7500 0.2846 0.3280
0.7500 0.7154 0.3280
```

Principal peaks in the range 10 to 90 degrees two-theta, low angle first:
2θ (°), I_rel
11.8, 17
23.7, 21
26.6, 33
30.7, 100
30.8, 61
32.9, 22
35.1, 39
38.0, 21
49.4, 22
54.5, 28